# 1
For Be2Pt, a DFT-relaxed cell (PBE, Alexandria) gives the theoretical powder diffraction line list in this record (Cu Kα (weighted mean of Kα1 and Kα2)).
Intensities are scaled so that the largest is 100.

Largest 10 diffraction maxima, in order of falling intensity, 2θ = 10–80°:
2θ/deg, I_rel
36.00, 100
25.93, 92
27.22, 69
45.33, 46
44.49, 41
31.36, 37
43.68, 26
39.76, 24
57.03, 22
49.85, 19

```
data_Be2Pt
_chemical_formula_sum 'Be8 Pt4'
_symmetry_space_group_name_H-M 'P 1'
_symmetry_Int_Tables_number 1
_symmetry_space_group_name_Hall 'P 1'
_cell_length_a 7.7519
_cell_length_b 3.6588
_cell_length_c 4.7792
_cell_angle_alpha 90.00
_cell_angle_beta 108.43
_cell_angle_gamma 90.00
loop_
_atom_site_label
_atom_site_type_symbol
_atom_site_fract_x
_atom_site_fract_y
_atom_site_fract_z
Be1 Be 0.0000 0.0000 0.0000
Be2 Be 0.0000 0.0000 0.5000
Be3 Be 0.1820 0.5000 0.3203
Be4 Be 0.3180 0.0000 0.6797
Be5 Be 0.5000 0.5000 0.0000
Be6 Be 0.5000 0.5000 0.5000
Be7 Be 0.6820 0.0000 0.3203
Be8 Be 0.8180 0.5000 0.6797
Pt1 Pt 0.1384 0.5000 0.7926
Pt2 Pt 0.3616 0.0000 0.2074
Pt3 Pt 0.6384 0.0000 0.7926
Pt4 Pt 0.8616 0.5000 0.2074
```



# 2
For Pu3BePt2, a DFT-relaxed cell (PBE, Alexandria) gives the theoretical powder diffraction line list in this record (Cu Kα (weighted mean of Kα1 and Kα2)).
Intensities are scaled so that the largest is 100.

Largest 10 diffraction maxima, in order of falling intensity, 2θ = 10–80°:
2θ/deg, I_rel
32.61, 100
33.14, 73
32.11, 62
41.74, 55
44.75, 50
33.54, 48
36.01, 45
31.37, 43
28.16, 36
35.63, 30

```
data_Pu3BePt2
_chemical_formula_sum 'Pu12 Be4 Pt8'
_symmetry_space_group_name_H-M 'P 1'
_symmetry_Int_Tables_number 1
_symmetry_space_group_name_Hall 'P 1'
_cell_length_a 11.5109
_cell_length_b 4.0502
_cell_length_c 11.2094
_cell_angle_alpha 90.00
_cell_angle_beta 90.00
_cell_angle_gamma 90.00
loop_
_atom_site_label
_atom_site_type_symbol
_atom_site_fract_x
_atom_site_fract_y
_atom_site_fract_z
Pu1 Pu 0.0579 0.2500 0.1152
Pu2 Pu 0.1248 0.7500 0.5646
Pu3 Pu 0.1987 0.2500 0.7879
Pu4 Pu 0.3013 0.7500 0.2879
Pu5 Pu 0.3752 0.2500 0.0646
Pu6 Pu 0.4421 0.7500 0.6152
Pu7 Pu 0.5579 0.2500 0.3848
Pu8 Pu 0.6248 0.7500 0.9354
Pu9 Pu 0.6987 0.2500 0.7121
Pu10 Pu 0.8013 0.7500 0.2121
Pu11 Pu 0.8752 0.2500 0.4354
Pu12 Pu 0.9421 0.7500 0.8848
Be1 Be 0.1300 0.2500 0.3694
Be2 Be 0.3700 0.7500 0.8694
Be3 Be 0.6300 0.2500 0.1306
Be4 Be 0.8700 0.7500 0.6306
Pt1 Pt 0.0435 0.7500 0.3174
Pt2 Pt 0.1986 0.7500 0.9830
Pt3 Pt 0.3014 0.2500 0.4830
Pt4 Pt 0.4565 0.2500 0.8174
Pt5 Pt 0.5435 0.7500 0.1826
Pt6 Pt 0.6986 0.7500 0.5170
Pt7 Pt 0.8014 0.2500 0.0170
Pt8 Pt 0.9565 0.2500 0.6826
```



# 3
For Pu2Be2Pt5, a DFT-relaxed cell (PBE, Alexandria) gives the theoretical powder diffraction line list in this record (Cu Kα (weighted mean of Kα1 and Kα2)).
Intensities are scaled so that the largest is 100.

Largest 10 diffraction maxima, in order of falling intensity, 2θ = 10–80°:
2θ/deg, I_rel
37.00, 100
44.64, 30
77.19, 24
61.12, 23
39.51, 20
70.02, 15
78.78, 11
64.98, 10
29.45, 7
21.89, 6

```
data_Pu2Be2Pt5
_chemical_formula_sum 'Pu2 Be2 Pt5'
_symmetry_space_group_name_H-M 'P 1'
_symmetry_Int_Tables_number 1
_symmetry_space_group_name_Hall 'P 1'
_cell_length_a 4.0596
_cell_length_b 4.0596
_cell_length_c 9.1233
_cell_angle_alpha 90.00
_cell_angle_beta 90.00
_cell_angle_gamma 90.00
loop_
_atom_site_label
_atom_site_type_symbol
_atom_site_fract_x
_atom_site_fract_y
_atom_site_fract_z
Pu1 Pu 0.0000 0.0000 0.0000
Pu2 Pu 0.0000 0.0000 0.5000
Be1 Be 0.5000 0.5000 0.1305
Be2 Be 0.5000 0.5000 0.8695
Pt1 Pt 0.0000 0.5000 0.2552
Pt2 Pt 0.0000 0.5000 0.7448
Pt3 Pt 0.5000 0.0000 0.2552
Pt4 Pt 0.5000 0.0000 0.7448
Pt5 Pt 0.5000 0.5000 0.5000
```



# 4
For Rb2Be4Pt3, a DFT-relaxed cell (PBE, Alexandria) gives the theoretical powder diffraction line list in this record (Cu Kα (weighted mean of Kα1 and Kα2)).
Intensities are scaled so that the largest is 100.

Largest 10 diffraction maxima, in order of falling intensity, 2θ = 10–80°:
2θ/deg, I_rel
13.60, 100
32.36, 50
26.10, 41
35.25, 39
53.69, 24
34.66, 21
35.97, 18
42.91, 18
37.39, 17
21.94, 16

```
data_Rb2Be4Pt3
_chemical_formula_sum 'Rb2 Be4 Pt3'
_symmetry_space_group_name_H-M 'P 1'
_symmetry_Int_Tables_number 1
_symmetry_space_group_name_Hall 'P 1'
_cell_length_a 8.3165
_cell_length_b 7.2855
_cell_length_c 6.1248
_cell_angle_alpha 76.11
_cell_angle_beta 58.26
_cell_angle_gamma 45.64
loop_
_atom_site_label
_atom_site_type_symbol
_atom_site_fract_x
_atom_site_fract_y
_atom_site_fract_z
Rb1 Rb 0.1514 0.1514 0.8486
Rb2 Rb 0.8486 0.8486 0.1514
Be1 Be 0.2281 0.5784 0.4216
Be2 Be 0.4216 0.7719 0.2281
Be3 Be 0.5784 0.2281 0.7719
Be4 Be 0.7719 0.4216 0.5784
Pt1 Pt 0.0000 0.0000 0.5000
Pt2 Pt 0.5000 0.5000 0.0000
Pt3 Pt 0.5000 0.5000 0.5000
```



# 5
For Be4RuPt3, a DFT-relaxed cell (PBE, Alexandria) gives the theoretical powder diffraction line list in this record (Cu Kα (weighted mean of Kα1 and Kα2)).
Intensities are scaled so that the largest is 100.

Largest 10 diffraction maxima, in order of falling intensity, 2θ = 10–80°:
2θ/deg, I_rel
45.31, 100
31.64, 77
31.54, 39
56.29, 31
75.10, 26
74.90, 13
66.09, 11
65.84, 5
15.62, 3
32.64, 2

```
data_Be4RuPt3
_chemical_formula_sum 'Be4 Ru1 Pt3'
_symmetry_space_group_name_H-M 'P 1'
_symmetry_Int_Tables_number 1
_symmetry_space_group_name_Hall 'P 1'
_cell_length_a 2.8275
_cell_length_b 2.8275
_cell_length_c 11.3479
_cell_angle_alpha 90.00
_cell_angle_beta 90.00
_cell_angle_gamma 90.00
loop_
_atom_site_label
_atom_site_type_symbol
_atom_site_fract_x
_atom_site_fract_y
_atom_site_fract_z
Be1 Be 0.0000 0.0000 0.1148
Be2 Be 0.0000 0.0000 0.3708
Be3 Be 0.0000 0.0000 0.6292
Be4 Be 0.0000 0.0000 0.8852
Ru1 Ru 0.5000 0.5000 0.0000
Pt1 Pt 0.5000 0.5000 0.2488
Pt2 Pt 0.5000 0.5000 0.5000
Pt3 Pt 0.5000 0.5000 0.7512
```



# 6
For TaBePt2S, a DFT-relaxed cell (PBE, Alexandria) gives the theoretical powder diffraction line list in this record (Cu Kα (weighted mean of Kα1 and Kα2)).
Intensities are scaled so that the largest is 100.

Largest 10 diffraction maxima, in order of falling intensity, 2θ = 10–80°:
2θ/deg, I_rel
19.38, 100
41.31, 60
36.12, 57
17.83, 39
54.47, 35
32.09, 26
56.02, 25
39.34, 23
52.01, 20
67.11, 19

```
data_TaBePt2S
_chemical_formula_sum 'Ta1 Be1 Pt2 S1'
_symmetry_space_group_name_H-M 'P 1'
_symmetry_Int_Tables_number 1
_symmetry_space_group_name_Hall 'P 1'
_cell_length_a 4.9736
_cell_length_b 4.9736
_cell_length_c 4.5805
_cell_angle_alpha 90.00
_cell_angle_beta 90.00
_cell_angle_gamma 90.00
loop_
_atom_site_label
_atom_site_type_symbol
_atom_site_fract_x
_atom_site_fract_y
_atom_site_fract_z
Ta1 Ta 0.0000 0.0000 0.0000
Be1 Be 0.5000 0.5000 0.5000
Pt1 Pt 0.0000 0.5000 0.0000
Pt2 Pt 0.5000 0.0000 0.0000
S1 S 0.0000 0.0000 0.5000
```



# 7
For BeSb2Pt2, a DFT-relaxed cell (PBE, Alexandria) gives the theoretical powder diffraction line list in this record (Cu Kα (weighted mean of Kα1 and Kα2)).
Intensities are scaled so that the largest is 100.

Largest 10 diffraction maxima, in order of falling intensity, 2θ = 10–80°:
2θ/deg, I_rel
33.38, 100
47.77, 74
33.17, 59
29.77, 52
45.16, 34
37.41, 25
73.97, 25
63.96, 19
79.44, 17
16.41, 17

```
data_BeSb2Pt2
_chemical_formula_sum 'Be2 Sb4 Pt4'
_symmetry_space_group_name_H-M 'P 1'
_symmetry_Int_Tables_number 1
_symmetry_space_group_name_Hall 'P 1'
_cell_length_a 6.0019
_cell_length_b 6.0019
_cell_length_c 5.4018
_cell_angle_alpha 90.00
_cell_angle_beta 90.00
_cell_angle_gamma 90.00
loop_
_atom_site_label
_atom_site_type_symbol
_atom_site_fract_x
_atom_site_fract_y
_atom_site_fract_z
Be1 Be 0.0000 0.0000 0.0000
Be2 Be 0.5000 0.5000 0.0000
Sb1 Sb 0.2060 0.2940 0.5000
Sb2 Sb 0.2940 0.7940 0.5000
Sb3 Sb 0.7060 0.2060 0.5000
Sb4 Sb 0.7940 0.7060 0.5000
Pt1 Pt 0.1605 0.3395 0.0000
Pt2 Pt 0.3395 0.8395 0.0000
Pt3 Pt 0.6605 0.1605 0.0000
Pt4 Pt 0.8395 0.6605 0.0000
```



# 8
For Sc2Be2ZnPt5, a DFT-relaxed cell (PBE, Alexandria) gives the theoretical powder diffraction line list in this record (Cu Kα (weighted mean of Kα1 and Kα2)).
Intensities are scaled so that the largest is 100.

Largest 10 diffraction maxima, in order of falling intensity, 2θ = 10–80°:
2θ/deg, I_rel
40.49, 100
25.93, 89
40.17, 63
44.03, 50
33.91, 42
48.44, 41
34.95, 38
78.14, 38
43.74, 34
30.54, 32

```
data_Sc2Be2ZnPt5
_chemical_formula_sum 'Sc4 Be4 Zn2 Pt10'
_symmetry_space_group_name_H-M 'P 1'
_symmetry_Int_Tables_number 1
_symmetry_space_group_name_Hall 'P 1'
_cell_length_a 9.2555
_cell_length_b 9.2555
_cell_length_c 3.4359
_cell_angle_alpha 90.00
_cell_angle_beta 90.00
_cell_angle_gamma 90.00
loop_
_atom_site_label
_atom_site_type_symbol
_atom_site_fract_x
_atom_site_fract_y
_atom_site_fract_z
Sc1 Sc 0.1757 0.3243 0.0000
Sc2 Sc 0.3243 0.8243 0.0000
Sc3 Sc 0.6757 0.1757 0.0000
Sc4 Sc 0.8243 0.6757 0.0000
Be1 Be 0.1225 0.6225 0.0000
Be2 Be 0.3775 0.1225 0.0000
Be3 Be 0.6225 0.8775 0.0000
Be4 Be 0.8775 0.3775 0.0000
Zn1 Zn 0.0000 0.0000 0.0000
Zn2 Zn 0.5000 0.5000 0.0000
Pt1 Pt 0.0000 0.5000 0.5000
Pt2 Pt 0.0706 0.7898 0.5000
Pt3 Pt 0.2102 0.0706 0.5000
Pt4 Pt 0.2898 0.5706 0.5000
Pt5 Pt 0.4294 0.2898 0.5000
Pt6 Pt 0.5000 0.0000 0.5000
Pt7 Pt 0.5706 0.7102 0.5000
Pt8 Pt 0.7102 0.4294 0.5000
Pt9 Pt 0.7898 0.9294 0.5000
Pt10 Pt 0.9294 0.2102 0.5000
```